This entry pairs a crystal structure of PaFe4GeH6 with its simulated powder diffractogram. Radiation: λ = 1.5418 Å (Cu Kα). Structure: a cell relaxed with GGA-PBE.
Intensities are scaled so that the largest is 100.

```
PaFe4GeH6
1.0
4.2480 0.0000 0.0000
-2.1240 3.6789 0.0000
0.0000 0.0000 6.6300
Pa Fe Ge H
1 4 1 6
direct
0.0000 0.0000 0.0000 Pa
0.3333 0.6667 0.3189 Fe
0.3333 0.6667 0.6811 Fe
0.6667 0.3333 0.3189 Fe
0.6667 0.3333 0.6811 Fe
0.0000 0.0000 0.5000 Ge
0.0000 0.5000 0.1425 H
0.0000 0.5000 0.8575 H
0.5000 0.0000 0.1425 H
0.5000 0.0000 0.8575 H
0.5000 0.5000 0.1425 H
0.5000 0.5000 0.8575 H
```

Most intense lines, 2θ from 15° to 90°, sorted by position:
2θ 24.19, I 31
2θ 27.73, I 55
2θ 36.49, I 100
2θ 42.56, I 65
2θ 57.28, I 27
2θ 60.45, I 22
2θ 61.35, I 16
2θ 73.92, I 25

This entry pairs a crystal structure of Hf5Fe2Ge with its simulated powder diffractogram. Radiation: λ = 1.5418 Å (Cu Kα). Structure: a cell relaxed with GGA-PBE.
Intensities are scaled so that the largest is 100.

```
Hf5Fe2Ge
1.0
-3.2955 3.2955 6.7473
3.2955 -3.2955 6.7473
3.2955 3.2955 -6.7473
Hf Fe Ge
10 4 2
direct
0.0000 0.0000 0.0000 Hf
0.0195 0.5195 0.8278 Hf
0.1918 0.0195 0.5000 Hf
0.3082 0.8082 0.8278 Hf
0.4805 0.3082 0.5000 Hf
0.5000 0.5000 0.0000 Hf
0.5195 0.6918 0.5000 Hf
0.6918 0.1918 0.1722 Hf
0.8082 0.9805 0.5000 Hf
0.9805 0.4805 0.1722 Hf
0.1312 0.3688 0.5000 Fe
0.3688 0.8688 0.2376 Fe
0.6312 0.1312 0.7624 Fe
0.8688 0.6312 0.5000 Fe
0.2500 0.2500 0.0000 Ge
0.7500 0.7500 0.0000 Ge
```

Most intense lines, 2θ from 15° to 90°, sorted by position:
2θ 31.06, I 27
2θ 32.77, I 26
2θ 36.44, I 100
2θ 38.18, I 38
2θ 43.42, I 43
2θ 57.09, I 17
2θ 61.57, I 15
2θ 66.23, I 17

This entry pairs a crystal structure of Hf3FeGe3 with its simulated powder diffractogram. Radiation: λ = 1.5418 Å (Cu Kα). Structure: a cell relaxed with GGA-PBE.
Intensities are scaled so that the largest is 100.

```
Hf3FeGe3
1.0
5.0012 -1.9601 0.0000
5.0012 1.9601 0.0000
-4.5359 0.0000 12.2581
Hf Fe Ge
6 2 6
direct
0.0289 0.0289 0.3832 Hf
0.0998 0.0998 0.9175 Hf
0.2416 0.2416 0.2274 Hf
0.7584 0.7584 0.7726 Hf
0.9002 0.9002 0.0825 Hf
0.9711 0.9711 0.6168 Hf
0.2645 0.2645 0.5889 Fe
0.7355 0.7355 0.4111 Fe
0.3640 0.3640 0.4475 Ge
0.3736 0.3736 0.9262 Ge
0.4678 0.4678 0.7598 Ge
0.5322 0.5322 0.2402 Ge
0.6264 0.6264 0.0738 Ge
0.6360 0.6360 0.5525 Ge
```

Most intense lines, 2θ from 15° to 90°, sorted by position:
2θ 35.27, I 61
2θ 35.44, I 57
2θ 35.78, I 100
2θ 35.94, I 52
2θ 40.48, I 40
2θ 43.41, I 64
2θ 44.34, I 30
2θ 46.32, I 54

This entry pairs a crystal structure of Hf4Fe4Ge7 with its simulated powder diffractogram. Radiation: λ = 1.5418 Å (Cu Kα). Structure: a cell relaxed with GGA-PBE.
Intensities are scaled so that the largest is 100.

```
Hf4Fe4Ge7
1.0
-6.6763 6.6763 2.5709
6.6763 -6.6763 2.5709
6.6763 6.6763 -2.5709
Hf Fe Ge
8 8 14
direct
0.0000 0.1944 0.1944 Hf
0.0000 0.8056 0.8056 Hf
0.1944 0.0000 0.1944 Hf
0.3608 0.3608 0.7216 Hf
0.3608 0.6392 0.0000 Hf
0.6392 0.3608 0.0000 Hf
0.6392 0.6392 0.2784 Hf
0.8056 0.0000 0.8056 Hf
0.1009 0.6009 0.2019 Fe
0.1009 0.8991 0.5000 Fe
0.3991 0.6009 0.5000 Fe
0.3991 0.8991 0.7981 Fe
0.6009 0.1009 0.2019 Fe
0.6009 0.3991 0.5000 Fe
0.8991 0.1009 0.5000 Fe
0.8991 0.3991 0.7981 Fe
0.0000 0.4061 0.4061 Ge
0.0000 0.5939 0.5939 Ge
0.2055 0.2055 0.4111 Ge
0.2055 0.7945 0.0000 Ge
0.2108 0.5000 0.7108 Ge
0.2516 0.2516 0.0000 Ge
0.4061 0.0000 0.4061 Ge
0.5000 0.2108 0.7108 Ge
0.5000 0.7892 0.2892 Ge
0.5939 0.0000 0.5939 Ge
0.7484 0.7484 0.0000 Ge
0.7892 0.5000 0.2892 Ge
0.7945 0.2055 0.0000 Ge
0.7945 0.7945 0.5889 Ge
```

Most intense lines, 2θ from 15° to 90°, sorted by position:
2θ 29.73, I 10
2θ 34.90, I 18
2θ 37.97, I 100
2θ 38.13, I 14
2θ 40.54, I 21
2θ 41.11, I 37
2θ 64.31, I 11
2θ 64.62, I 21

> What is the formula in the fourth record?

Hf4Fe4Ge7